# 1
This entry pairs a crystal structure of SrGaSn with its computed PXRD pattern. Radiation: Cu Kα. Structure: the GGA-PBE geometry in the Materials Project.
Neutral-atom scattering factors, no anomalous dispersion.

Most intense lines, 2θ from 10° to 80°, sorted by position:
2θ (°), d [Å], I (rel.)
26.38, 3.379, 28
29.27, 3.051, 100
38.88, 2.317, 65
40.42, 2.232, 30
49.39, 1.845, 23
55.72, 1.650, 18
58.73, 1.572, 14
64.57, 1.443, 21
70.39, 1.337, 11
71.44, 1.321, 12

Atomic structure:
Lattice parameters (Å, degrees): 4.633 4.633 18.798 90.00 90.00 120.00
Sites, in units of the cell vectors:
1 Sr 0.000 0.000 0.000
2 Sr 0.000 0.000 0.250
3 Sr 0.000 0.000 0.500
4 Sr 0.000 0.000 0.750
5 Ga 0.333 0.667 0.162
6 Ga 0.333 0.667 0.338
7 Ga 0.667 0.333 0.662
8 Ga 0.667 0.333 0.838
9 Sn 0.333 0.667 0.616
10 Sn 0.333 0.667 0.884
11 Sn 0.667 0.333 0.116
12 Sn 0.667 0.333 0.384

***

# 2
This entry pairs a crystal structure of Y2AlN3 with its computed PXRD pattern. Radiation: Cu Kα. Structure: the GGA-PBE geometry in the Materials Project.
Neutral-atom scattering factors, no anomalous dispersion.

Most intense lines, 2θ from 10° to 80°, sorted by position:
2θ (°), d [Å], I (rel.)
23.74, 3.748, 34
27.73, 3.217, 39
28.44, 3.138, 34
32.85, 2.727, 100
33.46, 2.678, 33
34.92, 2.569, 48
48.60, 1.873, 20
49.93, 1.827, 31
61.28, 1.513, 35
62.37, 1.489, 33

Atomic structure:
Lattice parameters (Å, degrees): 6.437 6.437 5.138 90.00 90.00 58.36
Sites, in units of the cell vectors:
1 Y 0.024 0.658 0.500
2 Y 0.342 0.976 0.500
3 Y 0.658 0.024 0.000
4 Y 0.976 0.342 0.000
5 Al 0.341 0.659 0.027
6 Al 0.659 0.341 0.527
7 N 0.035 0.668 0.961
8 N 0.332 0.965 0.961
9 N 0.379 0.621 0.393
10 N 0.621 0.379 0.893
11 N 0.668 0.035 0.461
12 N 0.965 0.332 0.461

***

# 3
This entry pairs a crystal structure of CuPO4 with its computed PXRD pattern. Radiation: Cu Kα. Structure: the GGA-PBE geometry in the Materials Project.
Neutral-atom scattering factors, no anomalous dispersion.

Most intense lines, 2θ from 10° to 80°, sorted by position:
2θ (°), d [Å], I (rel.)
20.60, 4.311, 36
21.57, 4.121, 100
23.35, 3.810, 37
24.27, 3.667, 29
26.75, 3.332, 30
30.98, 2.887, 88
33.05, 2.711, 79
36.67, 2.451, 65
47.23, 1.925, 24
64.94, 1.436, 24

Atomic structure:
Lattice parameters (Å, degrees): 4.763 8.622 7.818 90.00 116.90 90.00
Sites, in units of the cell vectors:
1 Cu 0.000 0.000 0.000
2 Cu 0.000 0.500 0.500
3 Cu 0.500 0.000 0.500
4 Cu 0.500 0.500 0.000
5 P 0.136 0.176 0.687
6 P 0.136 0.324 0.187
7 P 0.864 0.676 0.813
8 P 0.864 0.824 0.313
9 O 0.135 0.142 0.207
10 O 0.135 0.358 0.707
11 O 0.173 0.627 0.986
12 O 0.173 0.873 0.486
13 O 0.205 0.110 0.886
14 O 0.205 0.390 0.386
15 O 0.434 0.139 0.660
16 O 0.434 0.361 0.160
17 O 0.566 0.639 0.840
18 O 0.566 0.861 0.340
19 O 0.795 0.610 0.614
20 O 0.795 0.890 0.114
21 O 0.827 0.127 0.514
22 O 0.827 0.373 0.014
23 O 0.865 0.642 0.293
24 O 0.865 0.858 0.793